Li7Mn16O32: simulated powder diffraction line list (Cu Kα (weighted mean of Kα1 and Kα2)), based on DFT lattice parameters and positions (GGA+U).

Cell and atoms:
```
Li7Mn16O32
1.0
-4.088 4.088 8.172
4.088 -4.088 8.172
4.088 4.088 -8.172
Li Mn O
7 16 32
Direct
0.000 0.000 0.000
0.128 0.128 0.503
0.250 0.750 0.500
0.376 0.872 0.000
0.624 0.624 0.497
0.750 0.250 0.500
0.872 0.376 0.000
0.063 0.063 0.751
0.064 0.562 0.752
0.188 0.438 0.000
0.189 0.438 0.502
0.312 0.312 0.249
0.312 0.811 0.248
0.438 0.188 0.000
0.438 0.189 0.502
0.562 0.064 0.752
0.562 0.562 0.750
0.688 0.936 0.498
0.688 0.937 0.000
0.811 0.312 0.248
0.812 0.812 0.250
0.936 0.688 0.498
0.937 0.688 0.000
0.043 0.819 0.501
0.056 0.333 0.500
0.069 0.793 0.000
0.082 0.306 0.000
0.168 0.667 0.723
0.181 0.681 0.224
0.194 0.194 0.777
0.207 0.207 0.276
0.290 0.570 0.000
0.306 0.082 0.000
0.319 0.543 0.499
0.333 0.056 0.500
0.417 0.417 0.223
0.430 0.430 0.720
0.444 0.944 0.277
0.457 0.957 0.776
0.543 0.319 0.499
0.556 0.832 0.500
0.570 0.290 0.000
0.583 0.806 0.000
0.667 0.168 0.723
0.681 0.181 0.224
0.694 0.694 0.776
0.710 0.710 0.280
0.793 0.069 0.000
0.806 0.583 0.000
0.819 0.043 0.501
0.832 0.556 0.500
0.918 0.918 0.224
0.931 0.931 0.724
0.944 0.444 0.277
0.957 0.457 0.776
```

Peak list (8 most intense, 15° ≤ 2θ ≤ 90°, by intensity)
two_theta, I/Imax
18.80, 100
44.33, 53
36.46, 44
64.49, 31
58.69, 19
67.83, 13
38.14, 10
48.55, 10